# 1
Structure and computed X-ray diffraction stick pattern of CuNCl3 (DFT lattice parameters and positions (GGA-PBE); Cu Ka).

Peak list (6 most intense, 2θ = 10–90°, by angle)
2theta	d (Å)	intensity
11.46	7.718	100
12.63	7.011	94
15.86	5.586	39
22.21	4.002	54
25.02	3.559	58
28.12	3.174	51

a b c (Å): 4.254 14.021 9.566
angles (deg): 90.00 104.87 90.00
Atoms (fractional coordinates):
Cu 0.230 0.047 0.151
Cu 0.230 0.453 0.651
Cu 0.770 0.547 0.349
Cu 0.770 0.953 0.849
N 0.211 0.675 0.938
N 0.211 0.825 0.438
N 0.789 0.175 0.562
N 0.789 0.325 0.062
Cl 0.170 0.594 0.538
Cl 0.170 0.906 0.038
Cl 0.267 0.186 0.244
Cl 0.267 0.314 0.744
Cl 0.357 0.005 0.688
Cl 0.357 0.495 0.188
Cl 0.643 0.505 0.812
Cl 0.643 0.995 0.312
Cl 0.733 0.686 0.256
Cl 0.733 0.814 0.756
Cl 0.830 0.094 0.962
Cl 0.830 0.406 0.462



# 2
Structure and computed X-ray diffraction stick pattern of CeSnRh (DFT lattice parameters and positions (GGA-PBE); Cu Ka).

Peak list (6 most intense, 2θ = 10–90°, by angle)
2theta	d (Å)	intensity
32.43	2.761	100
35.33	2.541	100
36.62	2.454	53
41.74	2.164	32
44.39	2.041	29
66.87	1.399	32

a b c (Å): 7.496 7.496 4.082
angles (deg): 90.00 90.00 120.00
Atoms (fractional coordinates):
Ce 0.000 0.414 0.000
Ce 0.414 0.000 0.000
Ce 0.586 0.586 0.000
Sn 0.000 0.747 0.500
Sn 0.253 0.253 0.500
Sn 0.747 0.000 0.500
Rh 0.000 0.000 0.000
Rh 0.333 0.667 0.500
Rh 0.667 0.333 0.500



# 3
Structure and computed X-ray diffraction stick pattern of Ho3Sb4Pd8 (DFT lattice parameters and positions (GGA-PBE); Cu Ka).

Peak list (6 most intense, 2θ = 10–90°, by angle)
2theta	d (Å)	intensity
30.18	2.962	8
35.21	2.549	34
38.45	2.341	100
55.50	1.656	9
67.46	1.388	9
69.54	1.352	21

a b c (Å): 9.365 9.365 9.365
angles (deg): 60.00 60.00 60.00
Atoms (fractional coordinates):
Ho 0.224 0.224 0.776
Ho 0.224 0.776 0.224
Ho 0.224 0.776 0.776
Ho 0.776 0.224 0.224
Ho 0.776 0.224 0.776
Ho 0.776 0.776 0.224
Sb 0.000 0.000 0.000
Sb 0.000 0.000 0.500
Sb 0.000 0.500 0.000
Sb 0.000 0.500 0.500
Sb 0.500 0.000 0.000
Sb 0.500 0.000 0.500
Sb 0.500 0.500 0.000
Sb 0.500 0.500 0.500
Pd 0.144 0.619 0.619
Pd 0.166 0.166 0.166
Pd 0.166 0.166 0.501
Pd 0.166 0.501 0.166
Pd 0.381 0.381 0.381
Pd 0.381 0.381 0.856
Pd 0.381 0.856 0.381
Pd 0.499 0.834 0.834
Pd 0.501 0.166 0.166
Pd 0.619 0.144 0.619
Pd 0.619 0.619 0.144
Pd 0.619 0.619 0.619
Pd 0.834 0.499 0.834
Pd 0.834 0.834 0.499
Pd 0.834 0.834 0.834
Pd 0.856 0.381 0.381



# 4
Structure and computed X-ray diffraction stick pattern of ScRe2 (DFT lattice parameters and positions (GGA-PBE); Cu Ka).

Peak list (6 most intense, 2θ = 10–90°, by angle)
2theta	d (Å)	intensity
19.33	4.592	56
21.94	4.051	38
39.94	2.257	76
40.67	2.218	100
44.74	2.026	55
50.94	1.793	34

a b c (Å): 5.302 5.302 8.608
angles (deg): 90.00 90.00 120.00
Atoms (fractional coordinates):
Sc 0.333 0.667 0.063
Sc 0.333 0.667 0.437
Sc 0.667 0.333 0.563
Sc 0.667 0.333 0.937
Re 0.000 0.000 0.000
Re 0.000 0.000 0.500
Re 0.172 0.344 0.750
Re 0.172 0.828 0.750
Re 0.344 0.172 0.250
Re 0.656 0.828 0.750
Re 0.828 0.172 0.250
Re 0.828 0.656 0.250